Calculated powder X-ray diffraction pattern
Compound: Sm2MgSe4
Radiation: Cu Kα (λ = 1.5418 Å)
Structure: a cell relaxed with GGA-PBE
Neutral-atom scattering factors, no anomalous dispersion.

Cell and atoms:
a b c (Å): 11.8892 11.8892 11.8892
angles (deg): 90.00 90.00 90.00
Space group Fd-3m (No. 227, origin choice 2)
Asymmetric unit:
Sm 0.0000 0.0000 0.0000 (multiplicity 16)
Mg 0.1250 0.1250 0.6250 (multiplicity 8)
Se 0.0033 0.0033 0.2467 (multiplicity 32)

The 10 most intense peaks (15 to 90 degrees two-theta), low angle first:
2θ/deg	d_spacing	I (rel.)
24.84	3.585	50
30.07	2.972	100
39.38	2.288	24
43.04	2.102	88
45.12	2.010	15
53.39	1.716	26
59.74	1.548	12
62.50	1.486	14
70.90	1.329	33
78.89	1.213	29